(1)
This entry pairs a crystal structure of Li5Mg4Cu with its computed powder XRD pattern. Radiation: a wavelength of 1.5418 Å. Structure: a DFT-relaxed cell (PBE, Alexandria).

Peak list (8 most intense, 2θ = 10–90°, by angle)
| d (Å) | I (rel.) |
| --- | --- |
| 6.840 | 446 |
| 5.566 | 896 |
| 5.150 | 819 |
| 3.634 | 530 |
| 2.388 | 1000 |
| 2.359 | 961 |
| 2.341 | 477 |
| 2.329 | 476 |

Crystal structure
```
Li5Mg4Cu
1.0
7.179 -2.329 0.000
7.179 2.329 0.000
-1.775 0.000 5.566
Li Mg Cu
5 4 1
Direct
0.000 0.000 0.000
0.195 0.195 0.301
0.399 0.399 0.086
0.601 0.601 0.914
0.805 0.805 0.699
0.193 0.193 0.791
0.408 0.408 0.589
0.592 0.592 0.411
0.807 0.807 0.209
0.000 0.000 0.500
```

***

(2)
This entry pairs a crystal structure of Tb2HoGe2 with its computed powder XRD pattern. Radiation: a wavelength of 1.5418 Å. Structure: a DFT-relaxed cell (PBE, Alexandria).

Peak list (8 most intense, 2θ = 10–90°, by angle)
| d (Å) | I (rel.) |
| --- | --- |
| 2.982 | 471 |
| 2.884 | 669 |
| 2.840 | 1000 |
| 2.703 | 506 |
| 2.575 | 663 |
| 2.459 | 764 |
| 2.187 | 602 |
| 1.624 | 474 |

Crystal structure
```
Tb2HoGe2
1.0
6.130 -2.187 0.000
6.130 2.187 0.000
-4.743 0.000 9.362
Tb Ho Ge
4 2 4
Direct
0.017 0.017 0.187
0.181 0.181 0.586
0.819 0.819 0.414
0.983 0.983 0.813
0.282 0.282 0.142
0.718 0.718 0.858
0.382 0.382 0.935
0.472 0.472 0.608
0.528 0.528 0.392
0.618 0.618 0.065
```

***

(3)
This entry pairs a crystal structure of Pu3Se3Br with its computed powder XRD pattern. Radiation: a wavelength of 1.5418 Å. Structure: a DFT-relaxed cell (PBE, Alexandria).

Peak list (8 most intense, 2θ = 10–90°, by angle)
| d (Å) | I (rel.) |
| --- | --- |
| 8.297 | 276 |
| 4.790 | 175 |
| 3.387 | 256 |
| 2.933 | 1000 |
| 2.074 | 757 |
| 1.694 | 270 |
| 1.312 | 351 |
| 1.198 | 265 |

Crystal structure
```
Pu3Se3Br
1.0
-5.867 5.867 5.867
5.867 -5.867 5.867
5.867 5.867 -5.867
Pu Se Br
12 12 4
Direct
0.000 0.500 0.750
0.000 0.750 0.500
0.250 0.250 0.750
0.250 0.500 0.500
0.250 0.750 0.250
0.500 0.000 0.750
0.500 0.250 0.500
0.500 0.500 0.250
0.500 0.750 0.000
0.750 0.000 0.500
0.750 0.250 0.250
0.750 0.500 0.000
0.000 0.251 0.502
0.000 0.502 0.251
0.251 0.000 0.502
0.251 0.502 0.000
0.251 0.749 0.749
0.498 0.498 0.749
0.498 0.749 0.498
0.502 0.000 0.251
0.502 0.251 0.000
0.749 0.251 0.749
0.749 0.498 0.498
0.749 0.749 0.251
0.000 0.000 0.754
0.000 0.754 0.000
0.246 0.246 0.246
0.754 0.000 0.000
```

***

(4)
This entry pairs a crystal structure of Ac6AgRh4 with its computed powder XRD pattern. Radiation: a wavelength of 1.5418 Å. Structure: a DFT-relaxed cell (PBE, Alexandria).

Peak list (8 most intense, 2θ = 10–90°, by angle)
| d (Å) | I (rel.) |
| --- | --- |
| 3.271 | 952 |
| 3.173 | 477 |
| 3.079 | 1000 |
| 2.939 | 529 |
| 2.188 | 506 |
| 2.169 | 394 |
| 2.098 | 485 |
| 1.808 | 380 |

Crystal structure
```
Ac6AgRh4
1.0
2.169 -7.141 0.000
2.169 7.141 0.000
0.000 0.000 22.082
Ac Ag Rh
12 2 8
Direct
0.000 0.000 0.000
0.000 0.000 0.500
0.166 0.834 0.750
0.270 0.730 0.083
0.270 0.730 0.417
0.460 0.540 0.656
0.460 0.540 0.844
0.540 0.460 0.156
0.540 0.460 0.344
0.730 0.270 0.583
0.730 0.270 0.917
0.834 0.166 0.250
0.155 0.845 0.250
0.845 0.155 0.750
0.099 0.901 0.629
0.099 0.901 0.871
0.363 0.637 0.543
0.363 0.637 0.957
0.637 0.363 0.043
0.637 0.363 0.457
0.901 0.099 0.129
0.901 0.099 0.371
```

***

(5)
This entry pairs a crystal structure of ScMo14W with its computed powder XRD pattern. Radiation: a wavelength of 1.5418 Å. Structure: a DFT-relaxed cell (PBE, Alexandria).

Peak list (8 most intense, 2θ = 10–90°, by angle)
| d (Å) | I (rel.) |
| --- | --- |
| 5.185 | 21 |
| 4.490 | 29 |
| 2.593 | 15 |
| 2.245 | 1000 |
| 1.588 | 163 |
| 1.296 | 330 |
| 1.124 | 18 |
| 1.122 | 90 |

Crystal structure
```
ScMo14W
1.0
3.173 -4.495 0.000
3.173 4.495 0.000
0.000 0.000 8.980
Sc Mo W
1 14 1
Direct
0.000 0.000 0.000
0.000 0.000 0.500
0.000 0.500 0.000
0.000 0.500 0.500
0.250 0.750 0.250
0.250 0.750 0.750
0.252 0.252 0.255
0.252 0.252 0.745
0.500 0.000 0.000
0.500 0.000 0.500
0.500 0.500 0.500
0.748 0.748 0.255
0.748 0.748 0.745
0.750 0.250 0.250
0.750 0.250 0.750
0.500 0.500 0.000
```

***

(6)
This entry pairs a crystal structure of La2DyIr2I2 with its computed powder XRD pattern. Radiation: a wavelength of 1.5418 Å. Structure: a DFT-relaxed cell (PBE, Alexandria).

Peak list (8 most intense, 2θ = 10–90°, by angle)
| d (Å) | I (rel.) |
| --- | --- |
| 8.388 | 1000 |
| 3.365 | 301 |
| 2.819 | 796 |
| 2.763 | 305 |
| 2.598 | 791 |
| 2.481 | 225 |
| 1.910 | 512 |
| 1.837 | 284 |

Crystal structure
```
La2DyIr2I2
1.0
5.195 0.000 0.000
0.000 5.195 0.000
0.000 0.000 16.776
La Dy Ir I
4 2 4 4
Direct
0.000 0.000 0.103
0.000 0.000 0.897
0.500 0.500 0.397
0.500 0.500 0.603
0.000 0.000 0.500
0.500 0.500 0.000
0.000 0.500 0.000
0.000 0.500 0.500
0.500 0.000 0.000
0.500 0.000 0.500
0.000 0.000 0.309
0.000 0.000 0.691
0.500 0.500 0.191
0.500 0.500 0.809
```

***

(7)
This entry pairs a crystal structure of YNp2S4 with its computed powder XRD pattern. Radiation: a wavelength of 1.5418 Å. Structure: a DFT-relaxed cell (PBE, Alexandria).

Peak list (8 most intense, 2θ = 10–90°, by angle)
| d (Å) | I (rel.) |
| --- | --- |
| 6.555 | 331 |
| 3.661 | 259 |
| 3.624 | 1000 |
| 3.242 | 276 |
| 2.861 | 268 |
| 2.622 | 460 |
| 2.132 | 319 |
| 1.688 | 240 |

Crystal structure
```
YNp2S4
1.0
1.908 -6.484 0.000
1.908 6.484 0.000
0.000 0.000 13.110
Y Np S
2 4 8
Direct
0.122 0.878 0.750
0.878 0.122 0.250
0.367 0.633 0.568
0.367 0.633 0.932
0.633 0.367 0.068
0.633 0.367 0.432
0.000 0.000 0.000
0.000 0.000 0.500
0.277 0.723 0.125
0.277 0.723 0.375
0.469 0.531 0.750
0.531 0.469 0.250
0.723 0.277 0.625
0.723 0.277 0.875
```

***

(8)
This entry pairs a crystal structure of Li7DySn4 with its computed powder XRD pattern. Radiation: a wavelength of 1.5418 Å. Structure: a DFT-relaxed cell (PBE, Alexandria).

Peak list (8 most intense, 2θ = 10–90°, by angle)
| d (Å) | I (rel.) |
| --- | --- |
| 6.400 | 329 |
| 3.479 | 1000 |
| 3.216 | 343 |
| 2.903 | 215 |
| 2.855 | 187 |
| 2.494 | 278 |
| 2.427 | 188 |
| 2.151 | 367 |

Crystal structure
```
Li7DySn4
1.0
6.419 -2.494 0.000
6.419 2.494 0.000
-5.799 0.000 8.119
Li Dy Sn
7 1 4
Direct
0.000 0.000 0.000
0.162 0.162 0.593
0.286 0.286 0.125
0.424 0.424 0.626
0.576 0.576 0.374
0.714 0.714 0.875
0.838 0.838 0.407
0.500 0.500 0.000
0.072 0.072 0.796
0.190 0.190 0.311
0.810 0.810 0.689
0.928 0.928 0.204
```

***

(9)
This entry pairs a crystal structure of RbYCl2F with its computed powder XRD pattern. Radiation: a wavelength of 1.5418 Å. Structure: a DFT-relaxed cell (PBE, Alexandria).

Peak list (8 most intense, 2θ = 10–90°, by angle)
| d (Å) | I (rel.) |
| --- | --- |
| 3.894 | 412 |
| 3.464 | 1000 |
| 2.932 | 207 |
| 2.754 | 797 |
| 2.228 | 209 |
| 2.155 | 535 |
| 1.947 | 270 |
| 1.732 | 364 |

Crystal structure
```
RbYCl2F
1.0
5.507 0.000 0.000
0.000 5.507 0.000
0.000 0.000 4.456
Rb Y Cl F
1 1 2 1
Direct
0.000 0.000 0.000
0.500 0.500 0.500
0.000 0.500 0.500
0.500 0.000 0.500
0.500 0.500 0.000
```

***

(10)
This entry pairs a crystal structure of Pr3ZnO5 with its computed powder XRD pattern. Radiation: a wavelength of 1.5418 Å. Structure: a DFT-relaxed cell (PBE, Alexandria).

Peak list (8 most intense, 2θ = 10–90°, by angle)
| d (Å) | I (rel.) |
| --- | --- |
| 3.009 | 521 |
| 2.881 | 1000 |
| 2.852 | 559 |
| 2.369 | 683 |
| 2.320 | 251 |
| 2.075 | 230 |
| 1.861 | 228 |
| 1.712 | 257 |

Crystal structure
```
Pr3ZnO5
1.0
-3.281 3.281 6.018
3.281 -3.281 6.018
3.281 3.281 -6.018
Pr Zn O
6 2 10
Direct
0.169 0.669 0.838
0.250 0.250 0.000
0.331 0.169 0.500
0.669 0.831 0.500
0.750 0.750 0.000
0.831 0.331 0.162
0.250 0.750 0.500
0.750 0.250 0.500
0.000 0.000 0.000
0.016 0.188 0.500
0.188 0.688 0.172
0.312 0.484 0.500
0.484 0.984 0.172
0.500 0.500 0.000
0.516 0.016 0.828
0.688 0.516 0.500
0.812 0.312 0.828
0.984 0.812 0.500
```

***

(11)
This entry pairs a crystal structure of Tb2Dy2Te5 with its computed powder XRD pattern. Radiation: a wavelength of 1.5418 Å. Structure: a DFT-relaxed cell (PBE, Alexandria).

Peak list (8 most intense, 2θ = 10–90°, by angle)
| d (Å) | I (rel.) |
| --- | --- |
| 4.615 | 182 |
| 3.073 | 1000 |
| 3.039 | 534 |
| 2.173 | 341 |
| 2.161 | 762 |
| 1.768 | 366 |
| 1.362 | 168 |
| 1.252 | 173 |

Crystal structure
```
Tb2Dy2Te5
1.0
3.039 -9.230 0.000
3.039 9.230 0.000
0.000 0.000 6.140
Tb Dy Te
2 2 5
Direct
0.157 0.843 0.000
0.843 0.157 0.000
0.316 0.684 0.500
0.684 0.316 0.500
0.000 0.000 0.000
0.152 0.848 0.500
0.332 0.668 0.000
0.668 0.332 0.000
0.848 0.152 0.500
```

***

(12)
This entry pairs a crystal structure of VCu3S6 with its computed powder XRD pattern. Radiation: a wavelength of 1.5418 Å. Structure: a DFT-relaxed cell (PBE, Alexandria).

Peak list (8 most intense, 2θ = 10–90°, by angle)
| d (Å) | I (rel.) |
| --- | --- |
| 4.361 | 475 |
| 3.207 | 991 |
| 2.974 | 528 |
| 2.612 | 788 |
| 2.181 | 531 |
| 2.012 | 1000 |
| 1.759 | 454 |
| 1.717 | 684 |

Crystal structure
```
VCu3S6
1.0
2.974 1.717 5.463
-2.974 1.717 5.463
0.000 -3.434 5.463
V Cu S
1 3 6
Direct
0.000 0.000 0.000
0.204 0.204 0.204
0.496 0.496 0.496
0.704 0.704 0.704
0.100 0.811 0.405
0.289 0.616 0.917
0.405 0.100 0.811
0.616 0.917 0.289
0.811 0.405 0.100
0.917 0.289 0.616
```

***

(13)
This entry pairs a crystal structure of Zr3Tc2Pb with its computed powder XRD pattern. Radiation: a wavelength of 1.5418 Å. Structure: a DFT-relaxed cell (PBE, Alexandria).

Peak list (8 most intense, 2θ = 10–90°, by angle)
| d (Å) | I (rel.) |
| --- | --- |
| 3.214 | 83 |
| 2.841 | 123 |
| 2.432 | 1000 |
| 2.387 | 533 |
| 1.688 | 183 |
| 1.413 | 127 |
| 1.387 | 335 |
| 1.216 | 78 |

Crystal structure
```
Zr3Tc2Pb
1.0
3.376 0.000 0.000
0.000 3.376 0.000
0.000 0.000 10.518
Zr Tc Pb
3 2 1
Direct
0.000 0.000 0.000
0.000 0.000 0.300
0.000 0.000 0.700
0.500 0.500 0.157
0.500 0.500 0.843
0.500 0.500 0.500
```